No. 1
For HoHf2Sc4, a structure optimized by DFT (PBE) gives the computed X-ray diffraction stick pattern in this record (Cu Kα).

Principal peaks in the range 10 to 80 degrees two-theta, in order of rising 2θ:
2θ 24.18, I 16.0; 2θ 31.53, I 39.8; 2θ 32.54, I 92.6; 2θ 34.10, I 56.2; 2θ 35.53, I 100.0; 2θ 36.33, I 98.9; 2θ 41.15, I 51.4; 2θ 53.89, I 19.9; 2θ 56.06, I 40.2; 2θ 61.43, I 16.4; 2θ 63.02, I 18.6; 2θ 67.27, I 43.6

Crystal structure
```
HoHf2Sc4
1.0
1.6405 0.9472 18.4069
-1.6405 0.9472 18.4069
0.0000 -1.8943 18.4069
Ho Hf Sc
1 2 4
Direct
0.0000 0.0000 0.0000
0.1885 0.1885 0.1885
0.8115 0.8115 0.8115
0.0980 0.0980 0.0980
0.3834 0.3834 0.3834
0.6166 0.6166 0.6166
0.9020 0.9020 0.9020
```

No. 2
For La2Nd2HoTm, a structure optimized by DFT (PBE) gives the computed X-ray diffraction stick pattern in this record (Cu Kα).

Principal peaks in the range 10 to 80 degrees two-theta, in order of rising 2θ:
2θ 30.87, I 91.4; 2θ 31.09, I 100.0; 2θ 40.31, I 10.6; 2θ 44.38, I 33.6; 2θ 51.33, I 8.3; 2θ 55.15, I 23.2; 2θ 55.24, I 18.2; 2θ 55.36, I 13.0; 2θ 61.24, I 28.9; 2θ 64.78, I 7.8; 2θ 73.48, I 9.8; 2θ 78.82, I 13.7

Crystal structure
```
La2Nd2HoTm
1.0
7.1197 0.0000 0.0000
0.0000 5.7455 0.0000
0.0000 0.0000 9.9778
La Nd Ho Tm
4 4 2 2
Direct
0.0000 0.0000 0.0000
0.2500 0.5000 0.1766
0.5000 0.0000 0.0000
0.7500 0.5000 0.8234
0.2500 0.0000 0.3322
0.2500 0.5000 0.8341
0.7500 0.0000 0.6678
0.7500 0.5000 0.1659
0.0000 0.5000 0.5000
0.5000 0.5000 0.5000
0.2500 0.0000 0.6566
0.7500 0.0000 0.3434
```

No. 3
For Li4ZnIn2F12, a structure optimized by DFT (PBE) gives the computed X-ray diffraction stick pattern in this record (Cu Kα).

Principal peaks in the range 10 to 80 degrees two-theta, in order of rising 2θ:
2θ 19.65, I 41.9; 2θ 20.06, I 85.6; 2θ 23.53, I 67.4; 2θ 25.86, I 100.0; 2θ 29.46, I 93.7; 2θ 30.84, I 33.5; 2θ 39.42, I 31.3; 2θ 42.46, I 25.2; 2θ 47.61, I 25.0; 2θ 51.59, I 61.0; 2θ 52.13, I 32.0; 2θ 62.99, I 31.2

Crystal structure
```
Li4ZnIn2F12
1.0
5.0765 0.0000 0.0000
0.0000 4.8560 0.0000
0.0000 0.0000 18.0744
Li Zn In F
8 2 4 24
Direct
0.0000 0.0000 0.0000
0.0000 0.0000 0.1543
0.0000 0.0000 0.4790
0.0000 0.5000 0.5000
0.0000 0.5000 0.6543
0.0000 0.5000 0.9790
0.5000 0.0000 0.4113
0.5000 0.5000 0.9113
0.5000 0.0000 0.2462
0.5000 0.5000 0.7462
0.0000 0.0000 0.8251
0.0000 0.5000 0.3251
0.5000 0.0000 0.5855
0.5000 0.5000 0.0855
0.1594 0.2322 0.9138
0.1594 0.2678 0.4138
0.1658 0.2415 0.0754
0.1658 0.2585 0.5754
0.1695 0.2428 0.2432
0.1695 0.2572 0.7432
0.3108 0.7058 0.9960
0.3108 0.7942 0.4960
0.3282 0.7334 0.6643
0.3282 0.7666 0.1643
0.3325 0.7309 0.8286
0.3325 0.7691 0.3286
0.6675 0.2309 0.3286
0.6675 0.2691 0.8286
0.6718 0.2334 0.1643
0.6718 0.2666 0.6643
0.6892 0.2058 0.4960
0.6892 0.2942 0.9960
0.8305 0.7428 0.7432
0.8305 0.7572 0.2432
0.8342 0.7415 0.5754
0.8342 0.7585 0.0754
0.8406 0.7322 0.4138
0.8406 0.7678 0.9138
```

No. 4
For PmNdB12, a structure optimized by DFT (PBE) gives the computed X-ray diffraction stick pattern in this record (Cu Kα).

Principal peaks in the range 10 to 80 degrees two-theta, in order of rising 2θ:
2θ 21.51, I 65.8; 2θ 30.61, I 100.0; 2θ 37.72, I 42.2; 2θ 43.83, I 21.5; 2θ 49.33, I 49.7; 2θ 54.40, I 27.4; 2θ 63.72, I 10.1; 2θ 68.09, I 27.9; 2θ 72.34, I 19.9; 2θ 76.48, I 12.8

Crystal structure
```
PmNdB12
1.0
0.0000 4.1309 4.1309
4.1309 0.0000 4.1309
4.1309 4.1309 0.0000
Pm Nd B
1 1 12
Direct
0.0000 0.0000 0.0000
0.5000 0.5000 0.5000
0.0998 0.0998 0.4002
0.0998 0.4002 0.0998
0.0998 0.4002 0.4002
0.4002 0.0998 0.0998
0.4002 0.0998 0.4002
0.4002 0.4002 0.0998
0.5998 0.5998 0.9002
0.5998 0.9002 0.5998
0.5998 0.9002 0.9002
0.9002 0.5998 0.5998
0.9002 0.5998 0.9002
0.9002 0.9002 0.5998
```

No. 5
For Ti5HPb4, a structure optimized by DFT (PBE) gives the computed X-ray diffraction stick pattern in this record (Cu Kα).

Principal peaks in the range 10 to 80 degrees two-theta, in order of rising 2θ:
2θ 14.70, I 40.5; 2θ 28.43, I 100.0; 2θ 32.32, I 54.4; 2θ 33.25, I 60.2; 2θ 35.52, I 81.9; 2θ 41.55, I 39.8; 2θ 47.05, I 43.0; 2θ 55.28, I 20.3; 2θ 56.50, I 26.0; 2θ 58.83, I 20.5; 2θ 69.18, I 22.4; 2θ 73.16, I 23.5

Crystal structure
```
Ti5HPb4
1.0
-4.2601 4.2601 2.7698
4.2601 -4.2601 2.7698
4.2601 4.2601 -2.7698
Ti H Pb
5 1 4
Direct
0.0000 0.0000 0.0000
0.1901 0.2899 0.6900
0.2899 0.5999 0.0998
0.5002 0.1901 0.9002
0.5999 0.5002 0.3100
0.3414 0.3414 0.0000
0.2153 0.9516 0.3882
0.5634 0.8271 0.6118
0.8271 0.2153 0.2637
0.9516 0.5634 0.7363
```

No. 6
For TbPr12Y7, a structure optimized by DFT (PBE) gives the computed X-ray diffraction stick pattern in this record (Cu Kα).

Principal peaks in the range 10 to 80 degrees two-theta, in order of rising 2θ:
2θ 21.84, I 21.4; 2θ 27.58, I 26.8; 2θ 28.66, I 22.4; 2θ 30.07, I 45.5; 2θ 30.76, I 100.0; 2θ 31.24, I 39.2; 2θ 32.23, I 84.2; 2θ 36.17, I 13.2; 2θ 50.21, I 14.5; 2θ 51.78, I 14.0; 2θ 53.53, I 15.4; 2θ 53.75, I 14.8

Crystal structure
```
TbPr12Y7
1.0
6.1492 3.5502 5.4294
-6.1492 3.5502 5.4294
0.0000 -7.1005 5.4294
Tb Pr Y
1 12 7
Direct
0.0000 0.0000 0.0000
0.1008 0.4171 0.3492
0.2272 0.3503 0.7525
0.2475 0.7728 0.6497
0.3492 0.1008 0.4171
0.3503 0.7525 0.2272
0.4171 0.3492 0.1008
0.5829 0.6508 0.8992
0.6497 0.2475 0.7728
0.6508 0.8992 0.5829
0.7525 0.2272 0.3503
0.7728 0.6497 0.2475
0.8992 0.5829 0.6508
0.0047 0.8903 0.3570
0.1097 0.6430 0.9953
0.3570 0.0047 0.8903
0.5000 0.5000 0.5000
0.6430 0.9953 0.1097
0.8903 0.3570 0.0047
0.9953 0.1097 0.6430
```